Theoretical X-ray powder pattern of KInNiO3 for Cu Kα, 1.54184 Å, from a structure optimized by DFT (PBE+U).
No peak broadening, texture or thermal motion is included.

Lattice parameters (Å, degrees): 5.681 11.002 5.679 90.00 90.00 90.00
Space group Cmcm (No. 63)
Unique sites:
K1 0.000 0.247 0.250 x4
In1 0.000 0.426 0.750 x4
Ni1 0.000 0.061 0.750 x4
O1 0.000 0.241 0.750 x4
O2 0.245 0.000 0.000 x8

The 6 most intense peaks (15 to 90 degrees two-theta), by intensity:
2θ (°), I (rel.)
33.08, 100
31.50, 61
57.10, 40
45.15, 37
16.11, 32
60.06, 23